Entry 1:
Computed powder X-ray diffraction pattern
Compound: NaDy2PaBi4
Radiation: a wavelength of 1.5418 Å
Structure: a structure optimized by DFT (PBE)
Lines closer than 0.1° are merged.

Crystal structure
```
data_NaDy2PaBi4
_chemical_formula_sum 'Na1 Dy2 Pa1 Bi4'
_symmetry_space_group_name_H-M 'P 1 2/m 1'
_symmetry_Int_Tables_number 10
_symmetry_space_group_name_Hall '-P 2y'
_cell_length_a 7.7154
_cell_length_b 4.5028
_cell_length_c 7.8176
_cell_angle_alpha 90.00
_cell_angle_beta 108.54
_cell_angle_gamma 90.00
loop_
_atom_site_label
_atom_site_type_symbol
_atom_site_fract_x
_atom_site_fract_y
_atom_site_fract_z
_atom_site_occupancy
Na1 Na 0.0000 0.0000 0.0000 1
Dy1 Dy 0.0000 0.5000 0.5000 1
Dy2 Dy 0.5000 0.0000 0.5000 1
Pa1 Pa 0.5000 0.5000 0.0000 1
Bi1 Bi 0.2526 0.0000 0.7527 1
Bi2 Bi 0.2600 0.5000 0.2513 1
```

Most intense lines, 10° ≤ 2θ ≤ 80°, in order of rising 2θ:
2theta	d [Å]	I (rel.)	index
27.92	3.195	1000	1 1 1
28.31	3.152	482	2 0 -2
39.75	2.268	198	2 0 2
40.00	2.254	587	0 2 0
40.39	2.233	377	3 1 -1
49.17	1.853	109	0 0 4
49.80	1.831	313	2 2 -2
57.70	1.598	136	2 2 2
65.21	1.431	95	0 2 4
65.80	1.419	183	3 1 -5



Entry 2:
Computed powder X-ray diffraction pattern
Compound: Nd3Dy5Bi8
Radiation: a wavelength of 1.5418 Å
Structure: a structure optimized by DFT (PBE)
Lines closer than 0.1° are merged.

Crystal structure
```
data_Nd3Dy5Bi8
_chemical_formula_sum 'Nd9 Dy15 Bi24'
_symmetry_space_group_name_H-M 'R -3 m'
_symmetry_Int_Tables_number 166
_symmetry_space_group_name_Hall '-R 3 2"'
_cell_length_a 9.0582
_cell_length_b 9.0582
_cell_length_c 22.1715
_cell_angle_alpha 90.00
_cell_angle_beta 90.00
_cell_angle_gamma 120.00
loop_
_atom_site_label
_atom_site_type_symbol
_atom_site_fract_x
_atom_site_fract_y
_atom_site_fract_z
_atom_site_occupancy
Nd1 Nd 0.0000 0.5000 0.0000 1
Dy1 Dy 0.0000 0.0000 0.0000 1
Dy2 Dy 0.0000 0.0000 0.5000 1
Dy3 Dy 0.0000 0.5000 0.5000 1
Bi1 Bi 0.0000 0.0000 0.2471 1
Bi2 Bi 0.0039 0.5019 0.7519 1
```

Most intense lines, 10° ≤ 2θ ≤ 80°, in order of rising 2θ:
2theta	d [Å]	I (rel.)	index
24.07	3.697	37	2 0 2
27.87	3.202	1000	0 2 4
39.82	2.264	783	2 2 0
47.07	1.931	21	0 4 2
49.30	1.849	284	4 0 4
57.57	1.601	135	0 4 8
63.30	1.469	9	4 2 2
65.15	1.432	373	2 4 4
72.28	1.307	277	6 0 0
77.45	1.232	8	6 0 6